# 1
The following is a computed XRD peak list of Li2CrO4. It was derived from the GGA+U geometry in the Materials Project, using Cu Ka.

The 10 most intense peaks (2θ = 10–90°), by angle:
| two_theta | Rel. int. |
| --- | --- |
| 19.67 | 83 |
| 21.04 | 25 |
| 21.16 | 77 |
| 21.94 | 90 |
| 22.14 | 100 |
| 24.25 | 46 |
| 26.18 | 93 |
| 27.13 | 56 |
| 31.97 | 43 |
| 41.08 | 23 |

Atomic structure:
abc: 5.1935 5.2860 7.7728
angles: 82.79 70.81 65.95
Positions (direct):
Li1 0.0000 0.0000 0.0000
Li2 0.0787 0.4646 0.9019
Li3 0.2190 0.5040 0.4877
Li4 0.7884 0.4577 0.2882
Cr1 0.4255 0.0237 0.2182
Cr2 0.6158 0.4641 0.7185
O1 0.1672 0.1975 0.1109
O2 0.2783 0.8663 0.3940
O3 0.3413 0.7218 0.8494
O4 0.4446 0.2907 0.6699
O5 0.5216 0.2539 0.2818
O6 0.7351 0.7805 0.0887
O7 0.8127 0.5613 0.5221
O8 0.8439 0.2833 0.8386

=====

# 2
The following is a computed XRD peak list of FeP3O12. It was derived from the GGA+U geometry in the Materials Project, using Cu Ka.

The 10 most intense peaks (2θ = 10–90°), by angle:
| two_theta | Rel. int. |
| --- | --- |
| 14.31 | 92 |
| 18.61 | 43 |
| 20.59 | 18 |
| 24.18 | 100 |
| 26.21 | 16 |
| 28.85 | 42 |
| 30.19 | 62 |
| 38.32 | 14 |
| 44.03 | 32 |
| 58.05 | 25 |

Atomic structure:
abc: 9.8239 9.8239 9.8239
angles: 48.95 48.95 48.95
Positions (direct):
Fe1 0.0000 0.0000 0.0000
Fe2 0.5000 0.5000 0.5000
P1 0.1045 0.7500 0.3955
P2 0.2500 0.6045 0.8955
P3 0.3955 0.1045 0.7500
P4 0.6045 0.8955 0.2500
P5 0.7500 0.3955 0.1045
P6 0.8955 0.2500 0.6045
O1 0.0165 0.5913 0.5539
O2 0.0539 0.0913 0.5165
O3 0.0913 0.5165 0.0539
O4 0.1211 0.8169 0.1959
O5 0.1831 0.8041 0.8789
O6 0.1959 0.1211 0.8169
O7 0.3041 0.6831 0.3789
O8 0.3169 0.6211 0.6959
O9 0.3789 0.3041 0.6831
O10 0.4087 0.4461 0.9835
O11 0.4461 0.9835 0.4087
O12 0.4835 0.9461 0.9087
O13 0.5165 0.0539 0.0913
O14 0.5539 0.0165 0.5913
O15 0.5913 0.5539 0.0165
O16 0.6211 0.6959 0.3169
O17 0.6831 0.3789 0.3041
O18 0.6959 0.3169 0.6211
O19 0.8041 0.8789 0.1831
O20 0.8169 0.1959 0.1211
O21 0.8789 0.1831 0.8041
O22 0.9087 0.4835 0.9461
O23 0.9461 0.9087 0.4835
O24 0.9835 0.4087 0.4461